PrZnNi5: simulated powder diffractogram (Cu Kα, 1.54184 Å), based on DFT lattice parameters and positions (PBE).

Peak list (10 most intense, 2θ from 5° to 70°, in order of rising 2θ)
2θ/deg	I/Imax
36.8	18.7
37.3	27.2
39.5	100.0
41.0	14.6
42.6	14.9
44.3	15.6
46.3	27.0
46.4	19.7
47.3	23.9
68.0	17.7

Structure:
a b c (Å): 8.004 4.890 10.115
angles (deg): 90.00 90.00 90.00
Atoms (fractional coordinates):
Pr  0.243  0.250  0.059
Pr  0.257  0.750  0.559
Pr  0.743  0.250  0.441
Pr  0.757  0.750  0.941
Zn  0.144  0.750  0.858
Zn  0.356  0.250  0.358
Zn  0.644  0.750  0.642
Zn  0.856  0.250  0.142
Ni  0.054  0.750  0.102
Ni  0.066  0.003  0.309
Ni  0.066  0.497  0.309
Ni  0.094  0.250  0.517
Ni  0.186  0.250  0.750
Ni  0.314  0.750  0.250
Ni  0.406  0.750  0.017
Ni  0.434  0.503  0.809
Ni  0.434  0.997  0.809
Ni  0.446  0.250  0.602
Ni  0.554  0.750  0.398
Ni  0.566  0.003  0.191
Ni  0.566  0.497  0.191
Ni  0.594  0.250  0.983
Ni  0.686  0.250  0.750
Ni  0.814  0.750  0.250
Ni  0.906  0.750  0.483
Ni  0.934  0.503  0.691
Ni  0.934  0.997  0.691
Ni  0.946  0.250  0.898